The following is a computed X-ray powder pattern of Sm3Ge7Os2. It was derived from a cell relaxed with PBE, using Cu Kα, 1.54184 Å.
Kinematic intensities with the Lorentz-polarization factor, no thermal factor.

Structural model:
```
12
Lattice="2.1932 -12.8895 0.0000 2.1932 12.8895 0.0000 0.0000 0.0000 4.3564" Properties=species:S:1:pos:R:3 pbc="T T T"
Sm 0.0000 0.0000 0.0000
Sm 2.1932 4.7129 2.1782
Sm 2.1932 -4.7129 2.1782
Ge 2.1932 10.6816 2.1782
Ge 2.1932 7.1751 0.0000
Ge 2.1932 2.2155 0.0000
Ge 2.1932 0.0000 2.1782
Ge 2.1932 -2.2155 0.0000
Ge 2.1932 -7.1751 0.0000
Ge 2.1932 -10.6816 2.1782
Os 2.1932 9.5907 0.0000
Os 2.1932 -9.5907 0.0000
```

Most intense lines, 2θ = 10–90°, most intense first:
| 2θ (°) | d [Å] | I/Imax |
| --- | --- | --- |
| 33.81 | 2.651 | 100 |
| 34.62 | 2.591 | 67 |
| 41.16 | 2.193 | 66 |
| 41.45 | 2.178 | 65 |
| 29.11 | 3.068 | 59 |
| 38.01 | 2.368 | 58 |
| 30.74 | 2.909 | 51 |
| 59.84 | 1.545 | 44 |
| 54.85 | 1.674 | 36 |
| 37.50 | 2.398 | 36 |

---

The following is a computed X-ray powder pattern of SnGeOs. It was derived from a cell relaxed with PBE, using Cu Kα, 1.54184 Å.
Kinematic intensities with the Lorentz-polarization factor, no thermal factor.

Structural model:
```
6
Lattice="4.4818 0.0000 0.0000 0.0000 3.1427 0.0000 0.0000 0.0000 8.8860" Properties=species:S:1:pos:R:3 pbc="T T T"
Sn 0.0000 0.0000 0.0000
Sn 0.0000 1.5714 4.4430
Ge 2.2409 0.0000 2.3152
Ge 2.2409 1.5714 6.7582
Os 2.2409 0.0000 4.8350
Os 2.2409 1.5714 0.3920
```

Most intense lines, 2θ = 10–90°, most intense first:
| 2θ (°) | d [Å] | I/Imax |
| --- | --- | --- |
| 36.35 | 2.472 | 100 |
| 19.98 | 4.443 | 58 |
| 46.76 | 1.943 | 52 |
| 40.24 | 2.241 | 30 |
| 19.81 | 4.482 | 24 |
| 40.61 | 2.221 | 22 |
| 41.91 | 2.156 | 16 |
| 58.50 | 1.578 | 15 |
| 70.61 | 1.334 | 15 |
| 45.33 | 2.001 | 15 |

---

The following is a computed X-ray powder pattern of TbGe3Os2. It was derived from a cell relaxed with PBE, using Cu Kα, 1.54184 Å.
Kinematic intensities with the Lorentz-polarization factor, no thermal factor.

Structural model:
```
12
Lattice="2.1330 -5.9773 0.0000 2.1330 5.9773 0.0000 0.0000 0.0000 8.4772" Properties=species:S:1:pos:R:3 pbc="T T T"
Tb 2.1330 3.7554 6.3579
Tb 2.1330 -3.7554 2.1193
Ge 2.1330 4.4024 2.1193
Ge 2.1330 1.4589 0.2011
Ge 2.1330 1.4589 4.0375
Ge 2.1330 -1.4589 4.4397
Ge 2.1330 -1.4589 8.2761
Ge 2.1330 -4.4024 6.3579
Os 0.0000 0.0000 0.0000
Os 0.0000 0.0000 4.2386
Os 2.1330 0.3459 6.3579
Os 2.1330 -0.3459 2.1193
```

Most intense lines, 2θ = 10–90°, most intense first:
| 2θ (°) | d [Å] | I/Imax |
| --- | --- | --- |
| 37.47 | 2.400 | 100 |
| 14.82 | 5.977 | 35 |
| 42.38 | 2.133 | 24 |
| 42.66 | 2.119 | 22 |
| 61.70 | 1.503 | 15 |
| 74.27 | 1.277 | 14 |
| 31.75 | 2.819 | 13 |
| 74.67 | 1.271 | 12 |
| 48.65 | 1.871 | 11 |
| 30.67 | 2.915 | 11 |

---

The following is a computed X-ray powder pattern of Tc2Ge6Os. It was derived from a cell relaxed with PBE, using Cu Kα, 1.54184 Å.
Kinematic intensities with the Lorentz-polarization factor, no thermal factor.

Structural model:
```
9
Lattice="7.1494 0.0000 0.0000 -3.5747 6.1916 0.0000 0.0000 0.0000 3.2431" Properties=species:S:1:pos:R:3 pbc="T T T"
Tc 0.0000 4.1277 0.7269
Tc 3.5747 2.0639 2.5162
Ge -0.9081 2.3033 2.3921
Ge -1.1260 5.8264 2.3921
Ge 1.5406 1.9381 0.8510
Ge 2.0341 4.2535 2.3921
Ge 4.7007 0.3652 0.8510
Ge 4.4829 3.8883 0.8510
Os 0.0000 0.0000 1.6216
```

Most intense lines, 2θ = 10–90°, most intense first:
| 2θ (°) | d [Å] | I/Imax |
| --- | --- | --- |
| 43.87 | 2.064 | 100 |
| 37.44 | 2.402 | 90 |
| 40.27 | 2.239 | 72 |
| 47.94 | 1.898 | 60 |
| 31.13 | 2.873 | 49 |
| 38.47 | 2.340 | 34 |
| 72.67 | 1.301 | 34 |
| 24.91 | 3.575 | 32 |
| 70.68 | 1.333 | 18 |
| 58.87 | 1.569 | 16 |

---

The following is a computed X-ray powder pattern of Th4GeOs. It was derived from a cell relaxed with PBE, using Cu Kα, 1.54184 Å.
Kinematic intensities with the Lorentz-polarization factor, no thermal factor.

Structural model:
```
12
Lattice="7.2946 0.0000 0.0000 0.0000 7.2946 0.0000 0.0000 0.0000 6.0574" Properties=species:S:1:pos:R:3 pbc="T T T"
Th 1.1239 2.3762 0.0000
Th 1.1239 4.9184 3.0287
Th 2.3762 1.1239 3.0287
Th 2.3762 6.1707 0.0000
Th 4.9184 1.1239 0.0000
Th 4.9184 6.1707 3.0287
Th 6.1707 2.3762 3.0287
Th 6.1707 4.9184 0.0000
Ge 3.6473 3.6473 1.5143
Ge 3.6473 3.6473 4.5430
Os 0.0000 0.0000 1.5143
Os 0.0000 0.0000 4.5430
```

Most intense lines, 2θ = 10–90°, most intense first:
| 2θ (°) | d [Å] | I/Imax |
| --- | --- | --- |
| 31.14 | 2.872 | 100 |
| 39.05 | 2.307 | 31 |
| 38.64 | 2.330 | 29 |
| 53.35 | 1.717 | 27 |
| 34.34 | 2.612 | 21 |
| 62.07 | 1.495 | 20 |
| 54.00 | 1.698 | 18 |
| 29.49 | 3.029 | 13 |
| 12.13 | 7.295 | 12 |
| 59.14 | 1.562 | 10 |

---

The following is a computed X-ray powder pattern of Th2Ge4Os5. It was derived from a cell relaxed with PBE, using Cu Kα, 1.54184 Å.
Kinematic intensities with the Lorentz-polarization factor, no thermal factor.

Structural model:
```
11
Lattice="0.0000 4.8741 7.4906 2.8395 0.0000 7.4906 2.8395 4.8741 0.0000" Properties=species:S:1:pos:R:3 pbc="T T T"
Th 2.8395 4.8741 1.8184
Th 2.8395 4.8741 13.1628
Ge 2.8395 3.3185 5.5543
Ge 2.8395 3.3185 9.4269
Ge 2.8395 6.4297 5.5543
Ge 2.8395 6.4297 9.4269
Os 1.4198 2.4371 0.0000
Os 1.4198 2.4371 3.7453
Os 1.4198 2.4371 7.4906
Os 2.8395 4.8741 7.4906
Os 4.2593 7.3112 11.2359
```

Most intense lines, 2θ = 10–90°, most intense first:
| 2θ (°) | d [Å] | I/Imax |
| --- | --- | --- |
| 36.61 | 2.454 | 100 |
| 39.84 | 2.263 | 53 |
| 30.09 | 2.970 | 50 |
| 44.11 | 2.053 | 41 |
| 62.35 | 1.489 | 41 |
| 36.88 | 2.437 | 27 |
| 48.62 | 1.873 | 25 |
| 25.45 | 3.500 | 25 |
| 66.28 | 1.410 | 20 |
| 86.37 | 1.127 | 19 |

---

The following is a computed X-ray powder pattern of Th2Ge6Os. It was derived from a cell relaxed with PBE, using Cu Kα, 1.54184 Å.
Kinematic intensities with the Lorentz-polarization factor, no thermal factor.

Structural model:
```
9
Lattice="6.1653 0.0000 0.0000 -3.0826 5.3393 0.0000 0.0000 0.0000 5.4364" Properties=species:S:1:pos:R:3 pbc="T T T"
Th 0.0000 3.5595 1.1265
Th 3.0827 1.7798 4.3099
Ge 0.0000 1.9386 3.7990
Ge -1.4038 4.3700 3.7990
Ge 1.6789 0.9693 1.6374
Ge 1.4038 4.3700 3.7990
Ge 4.4864 0.9693 1.6374
Ge 3.0826 3.4007 1.6374
Os 0.0000 0.0000 0.0000
```

Most intense lines, 2θ = 10–90°, most intense first:
| 2θ (°) | d [Å] | I/Imax |
| --- | --- | --- |
| 37.53 | 2.396 | 100 |
| 28.96 | 3.083 | 42 |
| 37.11 | 2.422 | 38 |
| 23.35 | 3.809 | 36 |
| 33.42 | 2.682 | 29 |
| 47.75 | 1.905 | 27 |
| 60.02 | 1.541 | 24 |
| 48.09 | 1.892 | 18 |
| 69.75 | 1.348 | 17 |
| 72.98 | 1.296 | 13 |

---

The following is a computed X-ray powder pattern of TmGe3Os. It was derived from a cell relaxed with PBE, using Cu Kα, 1.54184 Å.
Kinematic intensities with the Lorentz-polarization factor, no thermal factor.

Structural model:
```
10
Lattice="6.1979 0.0000 0.0000 0.0000 5.6253 0.0000 0.0000 0.0000 5.6875" Properties=species:S:1:pos:R:3 pbc="T T T"
Tm 0.0000 0.7751 0.0000
Tm 3.0989 4.8502 2.8437
Ge 0.0000 5.1405 3.1361
Ge 1.4528 1.8218 2.5573
Ge 1.6462 3.8035 5.4010
Ge 3.0989 0.4848 0.2924
Ge 4.5517 3.8035 5.4010
Ge 4.7451 1.8218 2.5573
Os 0.0000 3.4672 1.4543
Os 3.0989 2.1581 4.2980
```

Most intense lines, 2θ = 10–90°, most intense first:
| 2θ (°) | d [Å] | I/Imax |
| --- | --- | --- |
| 36.69 | 2.450 | 100 |
| 35.61 | 2.521 | 70 |
| 26.52 | 3.361 | 62 |
| 21.20 | 4.191 | 60 |
| 46.24 | 1.963 | 59 |
| 38.32 | 2.349 | 43 |
| 35.03 | 2.561 | 38 |
| 35.37 | 2.538 | 34 |
| 28.81 | 3.099 | 34 |
| 46.43 | 1.956 | 33 |